[1]
Starting from a structure optimized by DFT (PBE), the powder diffraction line list of Ni3P11 was calculated for Cu Ka.

Most intense lines, 10° ≤ 2θ ≤ 90°, in order of rising 2θ:
| 2theta | d (Å) | I_rel | (hkl) |
| --- | --- | --- | --- |
| 24.6 | 3.621 | 24 | 1 1 1 |
| 30.4 | 2.944 | 100 | 2 2 -1 |
| 33.0 | 2.714 | 38 | 0 0 2 |
| 33.3 | 2.687 | 32 | 4 0 0 |
| 50.4 | 1.811 | 26 | 0 4 0 |
| 52.4 | 1.745 | 29 | 2 2 -3 |

Cell and atoms:
Cell lengths 11.8910, 7.2474, 6.0055 Å; angles 90.00, 115.34, 90.00 degrees
Space group Cm (No. 8)
Inequivalent atoms, fractional coordinates:
Ni 0.0000 0.0000 0.0000
Ni 0.1089 0.5000 0.3907
Ni 0.2972 0.0000 0.8053
P 0.0014 0.5000 0.9809
P 0.0223 0.2467 0.4682
P 0.0608 0.2406 0.8701
P 0.1231 0.0000 0.4330
P 0.2614 0.2551 0.9564
P 0.2860 0.5000 0.7673
P 0.3234 0.3433 0.3426



[2]
Starting from a structure optimized by DFT (PBE), the powder diffraction line list of Pr2Ni7P4 was calculated for Cu Ka.

Most intense lines, 10° ≤ 2θ ≤ 90°, in order of rising 2θ:
| 2theta | d (Å) | I_rel | (hkl) |
| --- | --- | --- | --- |
| 36.4 | 2.468 | 100 | 1 1 3 |
| 37.7 | 2.386 | 80 | 1 3 0 |
| 40.3 | 2.240 | 31 | 1 2 3 |
| 43.2 | 2.093 | 25 | 1 1 4 |
| 47.2 | 1.926 | 35 | 0 4 3 |
| 48.3 | 1.886 | 44 | 2 0 0 |

Cell and atoms:
Cell lengths 3.7715, 9.2435, 10.4617 Å; angles 90.00, 90.00, 90.00 degrees
Space group Pmn2_1 (No. 31)
Inequivalent atoms, fractional coordinates:
Pr 0.0000 0.0611 0.0000
Pr 0.0000 0.4378 0.2178
Ni 0.0000 0.0611 0.6967
Ni 0.0000 0.0967 0.3023
Ni 0.0000 0.3050 0.7911
Ni 0.0000 0.4172 0.5215
Ni 0.0000 0.6821 0.4782
Ni 0.0000 0.7251 0.8886
Ni 0.0000 0.7478 0.1187
P 0.0000 0.1838 0.5048
P 0.0000 0.4757 0.9350
P 0.0000 0.8144 0.6886
P 0.0000 0.8427 0.3063



[3]
Starting from a structure optimized by DFT (PBE), the powder diffraction line list of Pr2Ni8P was calculated for Cu Ka.

Most intense lines, 10° ≤ 2θ ≤ 90°, in order of rising 2θ:
| 2theta | d (Å) | I_rel | (hkl) |
| --- | --- | --- | --- |
| 29.6 | 3.019 | 25 | 1 1 1 |
| 33.4 | 2.684 | 36 | 1 3 1 |
| 40.0 | 2.253 | 100 | 1 5 1 |
| 43.0 | 2.102 | 30 | 0 4 2 |
| 43.6 | 2.074 | 63 | 0 8 0 |
| 45.9 | 1.976 | 38 | 2 0 0 |

Cell and atoms:
Cell lengths 3.9528, 16.5814, 4.8766 Å; angles 90.00, 90.00, 90.00 degrees
Space group Amm2 (No. 38)
Inequivalent atoms, fractional coordinates:
Pr 0.0000 0.1201 0.0000
Ni 0.0000 0.0000 0.5002
Ni 0.0000 0.2087 0.4995
Ni 0.5000 0.0000 0.8227
Ni 0.5000 0.1177 0.4977
Ni 0.5000 0.2494 0.7499
P 0.5000 0.0000 0.2797



[4]
Starting from a structure optimized by DFT (PBE), the powder diffraction line list of PuNi4P2 was calculated for Cu Ka.

Most intense lines, 10° ≤ 2θ ≤ 90°, in order of rising 2θ:
| 2theta | d (Å) | I_rel | (hkl) |
| --- | --- | --- | --- |
| 25.5 | 3.494 | 21 | 2 0 0 |
| 27.7 | 3.218 | 35 | 1 0 1 |
| 38.0 | 2.367 | 100 | 2 1 1 |
| 40.8 | 2.210 | 47 | 3 1 0 |
| 66.7 | 1.401 | 22 | 3 1 2 |
| 72.5 | 1.304 | 24 | 5 0 1 |

Cell and atoms:
Cell lengths 6.9887, 6.9887, 3.6251 Å; angles 90.00, 90.00, 90.00 degrees
Space group P4_2/mnm (No. 136)
Inequivalent atoms, fractional coordinates:
Pu 0.0000 0.0000 0.0000
Ni 0.0897 0.3403 0.5000
P 0.2169 0.7831 0.5000



[5]
Starting from a structure optimized by DFT (PBE), the powder diffraction line list of RbNiPS4 was calculated for Cu Ka.

Most intense lines, 10° ≤ 2θ ≤ 90°, in order of rising 2θ:
| 2theta | d (Å) | I_rel | (hkl) |
| --- | --- | --- | --- |
| 15.2 | 5.816 | 49 | 1 1 0 |
| 21.4 | 4.161 | 85 | 1 1 2 |
| 21.6 | 4.113 | 100 | 2 0 0 |
| 37.3 | 2.412 | 58 | 2 0 4 |
| 37.7 | 2.384 | 51 | 3 1 2 |
| 54.2 | 1.692 | 47 | 4 0 4 |

Cell and atoms:
Cell lengths 8.2253, 8.2253, 11.9117 Å; angles 90.00, 90.00, 90.00 degrees
Space group I4/mcm (No. 140)
Inequivalent atoms, fractional coordinates:
Rb 0.0000 0.0000 0.2500
Ni 0.0000 0.5000 0.0000
P 0.0000 0.5000 0.2500
S 0.1309 0.3691 0.1341



[6]
Starting from a structure optimized by DFT (PBE), the powder diffraction line list of Ni3P2Se8 was calculated for Cu Ka.

Most intense lines, 10° ≤ 2θ ≤ 90°, in order of rising 2θ:
| 2theta | d (Å) | I_rel | (hkl) |
| --- | --- | --- | --- |
| 11.9 | 7.408 | 72 | 0 0 1 |
| 27.7 | 3.217 | 62 | 1 1 1 |
| 28.1 | 3.178 | 41 | 1 0 2 |
| 31.3 | 2.854 | 100 | 0 2 1 |
| 37.9 | 2.374 | 55 | 0 2 2 |
| 51.1 | 1.786 | 49 | 2 2 0 |

Cell and atoms:
Cell lengths 7.1438, 7.1438, 7.4078 Å; angles 90.00, 90.00, 120.00 degrees
Space group P-3m1 (No. 164)
Inequivalent atoms, fractional coordinates:
Ni 0.0000 0.5000 0.0000
P 0.3333 0.6667 0.3401
Se 0.1778 0.3555 0.1673
Se 0.3333 0.6667 0.6236



[7]
Starting from a structure optimized by DFT (PBE), the powder diffraction line list of SmNi4P2 was calculated for Cu Ka.

Most intense lines, 10° ≤ 2θ ≤ 90°, in order of rising 2θ:
| 2theta | d (Å) | I_rel | (hkl) |
| --- | --- | --- | --- |
| 25.3 | 3.523 | 38 | 0 4 0 |
| 35.9 | 2.502 | 48 | 4 2 0 |
| 36.1 | 2.490 | 59 | 1 4 1 |
| 37.1 | 2.420 | 90 | 3 2 1 |
| 39.9 | 2.259 | 100 | 3 3 1 |
| 48.9 | 1.864 | 63 | 0 0 2 |

Cell and atoms:
Cell lengths 10.7001, 14.0856, 3.7282 Å; angles 90.00, 90.00, 90.00 degrees
Space group Pnnm (No. 58)
Inequivalent atoms, fractional coordinates:
Sm 0.0000 0.0000 0.0000
Sm 0.1206 0.2771 0.0000
Ni 0.0693 0.8220 0.5000
Ni 0.0731 0.5636 0.0000
Ni 0.0977 0.4408 0.5000
Ni 0.1795 0.7158 0.0000
Ni 0.2247 0.9625 0.5000
Ni 0.2480 0.5868 0.5000
P 0.0670 0.6585 0.5000
P 0.1388 0.1179 0.5000
P 0.2070 0.8716 0.0000



[8]
Starting from a structure optimized by DFT (PBE), the powder diffraction line list of Ni10Sn5P3 was calculated for Cu Ka.

Most intense lines, 10° ≤ 2θ ≤ 90°, in order of rising 2θ:
| 2theta | d (Å) | I_rel | (hkl) |
| --- | --- | --- | --- |
| 31.5 | 2.843 | 96 | 1 0 -3 |
| 32.5 | 2.759 | 82 | 0 3 1 |
| 43.7 | 2.072 | 77 | 2 3 3 |
| 44.2 | 2.048 | 64 | 3 0 -1 |
| 44.4 | 2.038 | 100 | 1 4 1 |
| 47.0 | 1.934 | 67 | -1 3 4 |

Cell and atoms:
Cell lengths 6.4329, 8.3487, 10.2998 Å; angles 73.43, 84.42, 82.76 degrees
Space group P-1 (No. 2)
Inequivalent atoms, fractional coordinates:
Ni 0.0000 0.0000 0.0000
Ni 0.0559 0.4322 0.1266
Ni 0.0570 0.7036 0.2030
Ni 0.1347 0.8656 0.3751
Ni 0.1446 0.3499 0.5483
Ni 0.2687 0.2118 0.9627
Ni 0.2902 0.7265 0.7997
Ni 0.3405 0.3973 0.3058
Ni 0.3978 0.6068 0.0685
Ni 0.4189 0.0826 0.2936
Ni 0.5000 0.5000 0.5000
Sn 0.0335 0.1842 0.3724
Sn 0.2077 0.0492 0.7590
Sn 0.2989 0.4487 0.7409
Sn 0.3515 0.9114 0.1307
Sn 0.4649 0.8182 0.5035
P 0.0776 0.7200 0.9831
P 0.1975 0.5940 0.4002
P 0.3902 0.3157 0.1135